No. 1
Na6Mo10O33: simulated PXRD pattern (Cu Ka), based on DFT lattice parameters and positions (PBE+U).

Largest 10 diffraction maxima, in order of rising 2θ, 10 to 90 degrees two-theta:
| 2theta | I_rel |
| --- | --- |
| 11.44 | 41 |
| 12.65 | 31 |
| 15.68 | 100 |
| 23.64 | 28 |
| 26.41 | 53 |
| 27.49 | 59 |
| 27.97 | 82 |
| 29.43 | 86 |
| 31.67 | 21 |
| 44.99 | 20 |

Crystal structure
a b c (Å): 7.684 8.209 12.341
angles (deg): 71.18 72.86 79.41
Element x y z (fractional)
Na1 0.105 0.341 0.284
Na2 0.145 0.847 0.267
Na3 0.367 0.613 0.739
Na4 0.633 0.387 0.261
Na5 0.855 0.153 0.733
Na6 0.895 0.659 0.716
Mo1 0.048 0.770 0.007
Mo2 0.281 0.983 0.526
Mo3 0.288 0.392 0.518
Mo4 0.324 0.069 0.818
Mo5 0.449 0.228 0.999
Mo6 0.551 0.772 0.001
Mo7 0.676 0.931 0.182
Mo8 0.712 0.608 0.482
Mo9 0.719 0.017 0.474
Mo10 0.952 0.230 0.993
O1 0.063 0.033 0.879
O2 0.063 0.617 0.141
O3 0.100 0.658 0.902
O4 0.113 0.527 0.579
O5 0.148 0.186 0.574
O6 0.152 0.823 0.635
O7 0.218 0.187 0.972
O8 0.220 0.010 0.395
O9 0.289 0.458 0.367
O10 0.301 0.836 0.981
O11 0.328 0.276 0.712
O12 0.335 0.287 0.127
O13 0.390 0.925 0.732
O14 0.465 0.939 0.124
O15 0.484 0.156 0.492
O16 0.488 0.420 0.888
O17 0.500 0.500 0.500
O18 0.512 0.580 0.112
O19 0.516 0.844 0.508
O20 0.535 0.061 0.876
O21 0.610 0.075 0.268
O22 0.665 0.713 0.873
O23 0.672 0.724 0.288
O24 0.699 0.164 0.019
O25 0.711 0.542 0.633
O26 0.780 0.990 0.605
O27 0.782 0.813 0.028
O28 0.848 0.177 0.365
O29 0.852 0.814 0.426
O30 0.887 0.473 0.421
O31 0.900 0.342 0.098
O32 0.937 0.383 0.859
O33 0.937 0.967 0.121

***

No. 2
Li6V9P8O32: simulated PXRD pattern (Cu Ka), based on DFT lattice parameters and positions (PBE+U).

Largest 10 diffraction maxima, in order of rising 2θ, 10 to 90 degrees two-theta:
| 2theta | I_rel |
| --- | --- |
| 16.13 | 100 |
| 21.60 | 49 |
| 24.00 | 54 |
| 26.92 | 64 |
| 27.17 | 67 |
| 30.59 | 57 |
| 30.99 | 87 |
| 32.67 | 83 |
| 34.84 | 66 |
| 42.09 | 52 |

Crystal structure
a b c (Å): 8.857 8.974 9.070
angles (deg): 100.01 109.99 101.37
Element x y z (fractional)
Li1 0.126 0.364 0.008
Li2 0.233 0.969 0.723
Li3 0.304 0.299 0.342
Li4 0.696 0.701 0.658
Li5 0.767 0.031 0.277
Li6 0.874 0.636 0.992
V1 0.000 0.000 0.000
V2 0.123 0.294 0.563
V3 0.296 0.793 0.060
V4 0.298 0.678 0.549
V5 0.500 0.000 0.500
V6 0.500 0.500 0.000
V7 0.702 0.322 0.451
V8 0.704 0.207 0.940
V9 0.877 0.706 0.437
P1 0.025 0.605 0.722
P2 0.118 0.948 0.341
P3 0.393 0.156 0.091
P4 0.481 0.660 0.291
P5 0.519 0.340 0.709
P6 0.607 0.844 0.909
P7 0.882 0.052 0.659
P8 0.975 0.395 0.278
O1 0.040 0.700 0.887
O2 0.063 0.110 0.671
O3 0.086 0.459 0.741
O4 0.117 0.718 0.646
O5 0.126 0.887 0.172
O6 0.163 0.444 0.403
O7 0.175 0.130 0.392
O8 0.241 0.217 0.100
O9 0.245 0.886 0.467
O10 0.312 0.993 0.964
O11 0.323 0.568 0.130
O12 0.374 0.395 0.738
O13 0.474 0.634 0.450
O14 0.491 0.730 0.962
O15 0.495 0.142 0.264
O16 0.500 0.162 0.704
O17 0.500 0.838 0.296
O18 0.505 0.858 0.736
O19 0.509 0.270 0.038
O20 0.526 0.366 0.550
O21 0.626 0.605 0.262
O22 0.677 0.432 0.870
O23 0.688 0.007 0.036
O24 0.755 0.114 0.533
O25 0.759 0.783 0.900
O26 0.825 0.870 0.608
O27 0.837 0.556 0.597
O28 0.874 0.113 0.828
O29 0.883 0.282 0.354
O30 0.914 0.541 0.259
O31 0.937 0.890 0.329
O32 0.960 0.300 0.113

***

No. 3
Na2Mo2Se2O11: simulated PXRD pattern (Cu Ka), based on DFT lattice parameters and positions (PBE+U).

Largest 10 diffraction maxima, in order of rising 2θ, 10 to 90 degrees two-theta:
| 2theta | I_rel |
| --- | --- |
| 16.32 | 77 |
| 20.37 | 33 |
| 23.16 | 27 |
| 26.85 | 67 |
| 27.38 | 32 |
| 29.76 | 100 |
| 31.46 | 38 |
| 31.87 | 24 |
| 49.27 | 20 |
| 50.42 | 24 |

Crystal structure
a b c (Å): 9.064 9.064 9.574
angles (deg): 112.60 112.60 42.98
Element x y z (fractional)
Na1 0.000 0.500 0.500
Na2 0.246 0.754 0.750
Na3 0.500 0.000 0.000
Na4 0.754 0.246 0.250
Mo1 0.178 0.616 0.273
Mo2 0.384 0.822 0.227
Mo3 0.616 0.178 0.773
Mo4 0.822 0.384 0.727
Se1 0.080 0.583 0.889
Se2 0.417 0.920 0.611
Se3 0.583 0.080 0.389
Se4 0.920 0.417 0.111
O1 0.029 0.518 0.264
O2 0.066 0.147 0.807
O3 0.147 0.066 0.307
O4 0.176 0.708 0.469
O5 0.225 0.419 0.025
O6 0.275 0.482 0.795
O7 0.292 0.824 0.031
O8 0.377 0.623 0.250
O9 0.419 0.225 0.525
O10 0.482 0.275 0.295
O11 0.482 0.971 0.236
O12 0.518 0.029 0.764
O13 0.518 0.725 0.705
O14 0.581 0.775 0.475
O15 0.623 0.377 0.750
O16 0.708 0.176 0.969
O17 0.725 0.518 0.205
O18 0.775 0.581 0.975
O19 0.824 0.292 0.531
O20 0.853 0.934 0.693
O21 0.934 0.853 0.193
O22 0.971 0.482 0.736